(1)
Starting from a PBE-relaxed structure, the powder diffraction line list of PrSeO5 was computed for CuKα.
Kinematic intensities with the Lorentz-polarization factor, no thermal factor.

Structure:
a = 7.476 Å, b = 7.476 Å, c = 4.723 Å
α = 90.00°, β = 90.00°, γ = 90.00°
Fractional coordinates of all 14 atoms:
1 Pr 0.250 0.250 0.240
2 Pr 0.750 0.750 0.760
3 Se 0.250 0.750 0.000
4 Se 0.750 0.250 0.000
5 O 0.069 0.750 0.795
6 O 0.250 0.250 0.737
7 O 0.250 0.569 0.205
8 O 0.250 0.931 0.205
9 O 0.431 0.750 0.795
10 O 0.569 0.250 0.205
11 O 0.750 0.069 0.795
12 O 0.750 0.431 0.795
13 O 0.750 0.750 0.263
14 O 0.931 0.250 0.205

Principal peaks in the range 15 to 90 degrees two-theta, sorted by position:
2θ 18.79, I 16
2θ 22.26, I 76
2θ 23.80, I 100
2θ 25.29, I 18
2θ 32.82, I 22
2θ 33.91, I 24
2θ 40.95, I 26
2θ 41.90, I 32
2θ 47.91, I 18
2θ 54.94, I 52


(2)
Starting from a PBE-relaxed structure, the powder diffraction line list of Pr3Si2O8 was computed for CuKα.
Kinematic intensities with the Lorentz-polarization factor, no thermal factor.

Structure:
a = 7.257 Å, b = 7.257 Å, c = 7.257 Å
α = 44.10°, β = 44.10°, γ = 44.10°
Fractional coordinates of all 13 atoms:
1 Pr 0.000 0.000 0.000
2 Pr 0.204 0.204 0.204
3 Pr 0.796 0.796 0.796
4 Si 0.406 0.406 0.406
5 Si 0.594 0.594 0.594
6 O 0.236 0.731 0.731
7 O 0.269 0.269 0.764
8 O 0.269 0.764 0.269
9 O 0.323 0.323 0.323
10 O 0.677 0.677 0.677
11 O 0.731 0.236 0.731
12 O 0.731 0.731 0.236
13 O 0.764 0.269 0.269

Principal peaks in the range 15 to 90 degrees two-theta, sorted by position:
2θ 19.35, I 33
2θ 26.20, I 21
2θ 29.61, I 100
2θ 32.87, I 93
2θ 42.51, I 17
2θ 44.82, I 42
2θ 50.37, I 28
2θ 56.69, I 33
2θ 58.69, I 17
2θ 71.48, I 19


(3)
Starting from a PBE-relaxed structure, the powder diffraction line list of Pr2Si2O7 was computed for CuKα.
Kinematic intensities with the Lorentz-polarization factor, no thermal factor.

Structure:
a = 5.504 Å, b = 8.779 Å, c = 14.230 Å
α = 90.00°, β = 112.27°, γ = 90.00°
Fractional coordinates of all 44 atoms:
1 Pr 0.020 0.188 0.267
2 Pr 0.020 0.312 0.767
3 Pr 0.331 0.106 0.589
4 Pr 0.331 0.394 0.089
5 Pr 0.669 0.606 0.911
6 Pr 0.669 0.894 0.411
7 Pr 0.980 0.688 0.233
8 Pr 0.980 0.812 0.733
9 Si 0.245 0.747 0.026
10 Si 0.245 0.753 0.526
11 Si 0.460 0.503 0.679
12 Si 0.460 0.997 0.179
13 Si 0.540 0.003 0.821
14 Si 0.540 0.497 0.321
15 Si 0.755 0.247 0.474
16 Si 0.755 0.253 0.974
17 O 0.051 0.745 0.906
18 O 0.051 0.755 0.406
19 O 0.080 0.644 0.081
20 O 0.080 0.856 0.581
21 O 0.258 0.088 0.761
22 O 0.258 0.412 0.261
23 O 0.288 0.518 0.752
24 O 0.288 0.982 0.252
25 O 0.296 0.578 0.568
26 O 0.296 0.922 0.068
27 O 0.458 0.673 0.330
28 O 0.458 0.827 0.830
29 O 0.479 0.153 0.450
30 O 0.479 0.347 0.950
31 O 0.521 0.653 0.050
32 O 0.521 0.847 0.550
33 O 0.542 0.173 0.170
34 O 0.542 0.327 0.670
35 O 0.704 0.078 0.932
36 O 0.704 0.422 0.432
37 O 0.712 0.018 0.748
38 O 0.712 0.482 0.248
39 O 0.742 0.588 0.739
40 O 0.742 0.912 0.239
41 O 0.920 0.144 0.419
42 O 0.920 0.356 0.919
43 O 0.949 0.245 0.594
44 O 0.949 0.255 0.094

Principal peaks in the range 15 to 90 degrees two-theta, sorted by position:
2θ 25.86, I 64
2θ 25.96, I 100
2θ 26.07, I 78
2θ 26.84, I 72
2θ 28.76, I 53
2θ 32.54, I 42
2θ 41.13, I 25
2θ 43.85, I 44
2θ 44.11, I 32
2θ 49.38, I 27


(4)
Starting from a PBE-relaxed structure, the powder diffraction line list of PrSiO3 was computed for CuKα.
Kinematic intensities with the Lorentz-polarization factor, no thermal factor.

Structure:
a = 4.016 Å, b = 5.554 Å, c = 6.335 Å
α = 90.00°, β = 103.16°, γ = 90.00°
Fractional coordinates of all 10 atoms:
1 Pr 0.167 0.250 0.293
2 Pr 0.833 0.750 0.707
3 Si 0.410 0.250 0.827
4 Si 0.590 0.750 0.173
5 O 0.164 0.750 0.075
6 O 0.310 0.014 0.663
7 O 0.310 0.486 0.663
8 O 0.690 0.514 0.337
9 O 0.690 0.986 0.337
10 O 0.836 0.250 0.925

Principal peaks in the range 15 to 90 degrees two-theta, sorted by position:
2θ 21.53, I 76
2θ 27.91, I 66
2θ 28.96, I 100
2θ 32.24, I 34
2θ 33.22, I 31
2θ 36.52, I 20
2θ 44.42, I 57
2θ 45.36, I 21
2θ 46.51, I 23
2θ 54.91, I 19


(5)
Starting from a PBE-relaxed structure, the powder diffraction line list of PrSm2TeO8 was computed for CuKα.
Kinematic intensities with the Lorentz-polarization factor, no thermal factor.

Structure:
a = 4.299 Å, b = 7.382 Å, c = 5.346 Å
α = 90.00°, β = 95.09°, γ = 90.00°
Fractional coordinates of all 12 atoms:
1 Pr 0.000 0.000 0.000
2 Sm 0.500 0.259 0.500
3 Sm 0.500 0.741 0.500
4 Te 0.000 0.500 0.000
5 O 0.074 0.296 0.767
6 O 0.074 0.704 0.767
7 O 0.398 0.500 0.204
8 O 0.485 0.000 0.254
9 O 0.515 0.000 0.746
10 O 0.602 0.500 0.796
11 O 0.926 0.296 0.233
12 O 0.926 0.704 0.233

Principal peaks in the range 15 to 90 degrees two-theta, sorted by position:
2θ 25.51, I 70
2θ 27.87, I 59
2θ 29.44, I 100
2θ 32.01, I 51
2θ 33.66, I 21
2θ 42.21, I 24
2θ 45.67, I 42
2θ 48.57, I 32
2θ 50.94, I 22
2θ 57.63, I 35